The following is a computed powder XRD pattern of Nb5CuS8. It was derived from a GGA-PBE-relaxed structure, using CuKα.
No peak broadening, texture or thermal motion is included.

Cell and atoms:
```
data_Nb5CuS8
_cell_length_a 10.3186
_cell_length_b 10.3186
_cell_length_c 10.3186
_cell_angle_alpha 90.00
_cell_angle_beta 90.00
_cell_angle_gamma 90.00
_symmetry_space_group_name_H-M 'F -4 3 m'
_symmetry_Int_Tables_number 216
_symmetry_space_group_name_Hall 'F -4 2 3'
loop_
_atom_site_label
_atom_site_type_symbol
_atom_site_fract_x
_atom_site_fract_y
_atom_site_fract_z
Nb1 Nb 0.0000 0.0000 0.0000
Nb2 Nb 0.1049 0.1049 0.3951
Cu1 Cu 0.2500 0.2500 0.7500
S1 S 0.1272 0.1272 0.6272
S2 S 0.1346 0.1346 0.1346
```

Largest 10 diffraction maxima, by angle, 5° ≤ 2θ ≤ 70°:
- (1 1 1), 2θ 14.87, d = 5.957 Å, rel. 236
- (2 0 0), 2θ 17.19, d = 5.159 Å, rel. 122
- (2 2 0), 2θ 24.40, d = 3.648 Å, rel. 369
- (3 1 1), 2θ 28.69, d = 3.111 Å, rel. 1000
- (4 0 0), 2θ 34.78, d = 2.580 Å, rel. 366
- (3 3 1), 2θ 38.01, d = 2.367 Å, rel. 105
- (4 2 2), 2θ 42.94, d = 2.106 Å, rel. 280
- (3 3 3), 2θ 45.69, d = 1.986 Å, rel. 632
- (4 4 0), 2θ 50.00, d = 1.824 Å, rel. 677
- (6 4 2), 2θ 67.99, d = 1.379 Å, rel. 166